Structure and simulated XRD peak list of Sm3AgS6 (a PBE-relaxed structure; CuKα).

Largest 10 diffraction maxima, in order of rising 2θ, 10 to 80 degrees two-theta:
2θ/deg	I (rel.)	hkl
23.66	100	1 1 0
24.80	100	0 1 -2
25.34	82	0 1 2
26.19	99	1 -1 0
26.44	39	1 -1 1
26.81	36	1 0 2
36.39	63	1 2 2
40.98	39	1 2 -2
45.04	36	0 3 -2
45.95	42	1 1 4

Atomic structure:
```
data_Sm3AgS6
_cell_length_a 4.3086
_cell_length_b 6.8582
_cell_length_c 8.5175
_cell_angle_alpha 89.98
_cell_angle_beta 77.82
_cell_angle_gamma 83.66
_symmetry_space_group_name_H-M 'P 1'
_symmetry_Int_Tables_number 1
_symmetry_space_group_name_Hall 'P 1'
loop_
_atom_site_label
_atom_site_fract_x
_atom_site_fract_y
_atom_site_fract_z
Sm1 0.0000 0.0000 0.0000
Sm2 0.3641 0.5459 0.2732
Sm3 0.6358 0.4541 0.7268
Ag1 0.0000 0.0000 0.5000
S1 0.1502 0.6820 0.6068
S2 0.1840 0.1747 0.7036
S3 0.4462 0.2637 0.0246
S4 0.5538 0.7363 0.9754
S5 0.8160 0.8253 0.2964
S6 0.8498 0.3180 0.3932
```

---

Structure and simulated XRD peak list of Nb3Pb (a PBE-relaxed structure; CuKα).

Largest 10 diffraction maxima, in order of rising 2θ, 10 to 80 degrees two-theta:
2θ/deg	I (rel.)	hkl
23.42	27	1 1 0
33.29	15	0 0 2
33.40	29	2 0 0
37.44	52	2 1 0
41.17	100	1 1 2
62.29	8	3 0 2
64.93	35	2 1 3
65.02	18	3 2 1
70.15	9	4 0 0
79.93	10	4 2 0

Atomic structure:
```
data_Nb3Pb
_cell_length_a 5.3660
_cell_length_b 5.3660
_cell_length_c 5.3823
_cell_angle_alpha 90.00
_cell_angle_beta 90.00
_cell_angle_gamma 90.00
_symmetry_space_group_name_H-M 'P 1'
_symmetry_Int_Tables_number 1
_symmetry_space_group_name_Hall 'P 1'
loop_
_atom_site_label
_atom_site_fract_x
_atom_site_fract_y
_atom_site_fract_z
Nb1 0.0000 0.0000 0.2500
Nb2 0.0000 0.0000 0.7500
Nb3 0.2487 0.5000 0.0000
Nb4 0.5000 0.2487 0.5000
Nb5 0.5000 0.7513 0.5000
Nb6 0.7513 0.5000 0.0000
Pb1 0.0000 0.5000 0.5000
Pb2 0.5000 0.0000 0.0000
```